This entry pairs a crystal structure of Ta2Pd with its computed X-ray powder pattern. Radiation: Cu Kα. Structure: a cell relaxed with PBE.
No peak broadening, texture or thermal motion is included.

Structural model:
```
data_Ta2Pd
_symmetry_space_group_name_H-M 'P 1'
_symmetry_Int_Tables_number 1
_cell_length_a 3.306
_cell_length_b 3.306
_cell_length_c 9.461
_cell_angle_alpha 90.00
_cell_angle_beta 90.00
_cell_angle_gamma 90.00
loop_
_symmetry_equiv_pos_as_xyz
'x,y,z'
loop_
_atom_site_label
_atom_site_type_symbol
_atom_site_fract_x
_atom_site_fract_y
_atom_site_fract_z
Ta1 Ta 0.250 0.250 0.085
Ta2 Ta 0.250 0.250 0.735
Ta3 Ta 0.750 0.750 0.265
Ta4 Ta 0.750 0.750 0.915
Pd1 Pd 0.250 0.250 0.414
Pd2 Pd 0.750 0.750 0.586
```

Most intense lines, 5° ≤ 2θ ≤ 70°, by angle:
2θ 9.3, d 9.461, I = 6, hkl 0 0 1; 2θ 18.8, d 4.731, I = 1, hkl 0 0 2; 2θ 33.1, d 2.710, I = 7, hkl 1 0 2; 2θ 38.5, d 2.338, I = 55, hkl 1 1 0; 2θ 39.5, d 2.282, I = 100, hkl 1 0 3; 2θ 48.1, d 1.892, I = 1, hkl 0 0 5; 2θ 55.6, d 1.653, I = 19, hkl 2 0 0; 2θ 58.5, d 1.577, I = 7, hkl 0 0 6; 2θ 63.2, d 1.471, I = 3, hkl 1 1 5; 2θ 66.2, d 1.411, I = 2, hkl 2 1 2